Record 1
Structure and calculated X-ray diffraction stick pattern of BeSb2 (a crystal structure in Alexandria, relaxed with GGA-PBE; copper Kα).

Structure:
Lattice parameters (Å, degrees): 4.497 4.497 3.428 90.00 90.00 90.00
Atoms (fractional coordinates):
Be (0.000, 0.000, 0.000)
Sb (0.000, 0.500, 0.500)
Sb (0.500, 0.000, 0.500)

Principal peaks in the range 5 to 70 degrees two-theta, in order of falling intensity:
2theta	I_rel
28.06	100
38.62	94
25.99	61
48.41	44
40.10	42
61.46	21

---

Record 2
Structure and calculated X-ray diffraction stick pattern of BeSb4 (a crystal structure in Alexandria, relaxed with GGA-PBE; copper Kα).

Structure:
Lattice parameters (Å, degrees): 5.550 5.550 5.550 109.47 109.47 109.47
Atoms (fractional coordinates):
Be (0.000, 0.000, 0.000)
Sb (0.000, 0.000, 0.500)
Sb (0.000, 0.500, 0.000)
Sb (0.500, 0.000, 0.000)
Sb (0.500, 0.500, 0.500)

Principal peaks in the range 5 to 70 degrees two-theta, in order of falling intensity:
2theta	I_rel
27.84	100
39.78	80
65.09	35
49.25	27
57.52	13

---

Record 3
Structure and calculated X-ray diffraction stick pattern of BeSbSe2 (a crystal structure in Alexandria, relaxed with GGA-PBE; copper Kα).

Structure:
Lattice parameters (Å, degrees): 6.442 6.442 6.442 120.34 120.34 89.42
Atoms (fractional coordinates):
Be (0.000, 0.000, 0.000)
Be (0.750, 0.250, 0.500)
Sb (0.250, 0.750, 0.500)
Sb (0.500, 0.500, 0.000)
Se (0.039, 0.625, 0.914)
Se (0.375, 0.289, 0.414)
Se (0.711, 0.125, 0.086)
Se (0.875, 0.961, 0.586)

Principal peaks in the range 5 to 70 degrees two-theta, in order of falling intensity:
2theta	I_rel
27.70	100
32.74	73
48.90	35
32.49	28
49.16	23
39.78	22

---

Record 4
Structure and calculated X-ray diffraction stick pattern of Sr3BeSb3 (a crystal structure in Alexandria, relaxed with GGA-PBE; copper Kα).

Structure:
Lattice parameters (Å, degrees): 10.576 10.576 13.436 90.00 90.00 37.40
Atoms (fractional coordinates):
Sr (0.033, 0.625, 0.130)
Sr (0.125, 0.533, 0.630)
Sr (0.199, 0.801, 0.857)
Sr (0.301, 0.699, 0.357)
Sr (0.375, 0.967, 0.130)
Sr (0.467, 0.875, 0.630)
Sr (0.533, 0.125, 0.370)
Sr (0.625, 0.033, 0.870)
Sr (0.699, 0.301, 0.643)
Sr (0.801, 0.199, 0.143)
Sr (0.875, 0.467, 0.370)
Sr (0.967, 0.375, 0.870)
Be (0.084, 0.084, 0.500)
Be (0.416, 0.416, 0.000)
Be (0.584, 0.584, 0.000)
Be (0.916, 0.916, 0.500)
Sb (0.043, 0.637, 0.384)
Sb (0.137, 0.543, 0.884)
Sb (0.203, 0.797, 0.603)
Sb (0.297, 0.703, 0.103)
Sb (0.363, 0.957, 0.384)
Sb (0.457, 0.863, 0.884)
Sb (0.543, 0.137, 0.116)
Sb (0.637, 0.043, 0.616)
Sb (0.703, 0.297, 0.897)
Sb (0.797, 0.203, 0.397)
Sb (0.863, 0.457, 0.116)
Sb (0.957, 0.363, 0.616)

Principal peaks in the range 5 to 70 degrees two-theta, in order of falling intensity:
2theta	I_rel
26.70	100
26.54	94
26.28	74
38.00	73
37.81	71
46.79	56

---

Record 5
Structure and calculated X-ray diffraction stick pattern of Sr4BeSb (a crystal structure in Alexandria, relaxed with GGA-PBE; copper Kα).

Structure:
Lattice parameters (Å, degrees): 6.973 6.973 6.973 60.00 60.00 60.00
Atoms (fractional coordinates):
Sr (0.376, 0.376, 0.376)
Sr (0.376, 0.376, 0.873)
Sr (0.376, 0.873, 0.376)
Sr (0.873, 0.376, 0.376)
Be (0.000, 0.000, 0.000)
Sb (0.750, 0.750, 0.750)

Principal peaks in the range 5 to 70 degrees two-theta, in order of falling intensity:
2theta	I_rel
30.05	100
31.42	53
47.93	36
52.49	30
15.56	30
62.47	21

---

Record 6
Structure and calculated X-ray diffraction stick pattern of Ti12BeSb6 (a crystal structure in Alexandria, relaxed with GGA-PBE; copper Kα).

Structure:
Lattice parameters (Å, degrees): 7.376 7.376 7.376 99.96 99.96 99.96
Atoms (fractional coordinates):
Ti (0.033, 0.060, 0.320)
Ti (0.060, 0.320, 0.033)
Ti (0.217, 0.515, 0.408)
Ti (0.320, 0.033, 0.060)
Ti (0.408, 0.217, 0.515)
Ti (0.485, 0.592, 0.783)
Ti (0.515, 0.408, 0.217)
Ti (0.592, 0.783, 0.485)
Ti (0.680, 0.967, 0.940)
Ti (0.783, 0.485, 0.592)
Ti (0.940, 0.680, 0.967)
Ti (0.967, 0.940, 0.680)
Be (0.000, 0.000, 0.000)
Sb (0.108, 0.327, 0.673)
Sb (0.327, 0.673, 0.108)
Sb (0.327, 0.892, 0.673)
Sb (0.673, 0.108, 0.327)
Sb (0.673, 0.327, 0.892)
Sb (0.892, 0.673, 0.327)

Principal peaks in the range 5 to 70 degrees two-theta, in order of falling intensity:
2theta	I_rel
37.44	100
25.59	84
34.16	82
30.40	77
43.98	74
35.96	44

---

Record 7
Structure and calculated X-ray diffraction stick pattern of BeTlSb4 (a crystal structure in Alexandria, relaxed with GGA-PBE; copper Kα).

Structure:
Lattice parameters (Å, degrees): 6.278 6.278 6.278 60.00 60.00 60.00
Atoms (fractional coordinates):
Be (0.000, 0.000, 0.000)
Tl (0.250, 0.250, 0.250)
Sb (0.122, 0.626, 0.626)
Sb (0.626, 0.122, 0.626)
Sb (0.626, 0.626, 0.122)
Sb (0.626, 0.626, 0.626)

Principal peaks in the range 5 to 70 degrees two-theta, in order of falling intensity:
2theta	I_rel
33.48	100
35.01	48
53.64	35
58.84	28
17.30	27
20.00	21

---

Record 8
Structure and calculated X-ray diffraction stick pattern of YBe2Sb (a crystal structure in Alexandria, relaxed with GGA-PBE; copper Kα).

Structure:
Lattice parameters (Å, degrees): 3.769 3.804 5.256 90.00 90.00 90.00
Atoms (fractional coordinates):
Y (0.000, 0.000, 0.000)
Be (0.500, 0.000, 0.568)
Be (0.500, 0.500, 0.787)
Sb (0.000, 0.500, 0.479)

Principal peaks in the range 5 to 70 degrees two-theta, in order of falling intensity:
2theta	I_rel
37.71	100
28.97	89
23.61	71
41.91	35
34.12	30
57.31	25

---

Record 9
Structure and calculated X-ray diffraction stick pattern of Sc5Be (a crystal structure in Alexandria, relaxed with GGA-PBE; copper Kα).

Structure:
Lattice parameters (Å, degrees): 3.208 3.208 12.701 90.00 90.00 90.00
Atoms (fractional coordinates):
Sc (0.000, 0.000, 0.000)
Sc (0.000, 0.000, 0.379)
Sc (0.000, 0.000, 0.621)
Sc (0.500, 0.500, 0.184)
Sc (0.500, 0.500, 0.816)
Be (0.500, 0.500, 0.500)

Principal peaks in the range 5 to 70 degrees two-theta, in order of falling intensity:
2theta	I_rel
35.09	100
39.73	48
31.23	39
54.21	24
35.34	23
69.13	23

---

Record 10
Structure and calculated X-ray diffraction stick pattern of ScBe2 (a crystal structure in Alexandria, relaxed with GGA-PBE; copper Kα).

Structure:
Lattice parameters (Å, degrees): 5.516 5.516 5.516 142.63 124.79 68.57
Atoms (fractional coordinates):
Sc (0.176, 0.176, 0.000)
Sc (0.824, 0.824, 0.000)
Be (0.293, 0.500, 0.793)
Be (0.394, 0.894, 0.500)
Be (0.606, 0.106, 0.500)
Be (0.707, 0.500, 0.207)

Principal peaks in the range 5 to 70 degrees two-theta, in order of falling intensity:
2theta	I_rel
30.75	100
39.10	85
34.34	84
36.67	54
35.11	44
53.55	39

---

Record 11
Structure and calculated X-ray diffraction stick pattern of Sc3Be (a crystal structure in Alexandria, relaxed with GGA-PBE; copper Kα).

Structure:
Lattice parameters (Å, degrees): 5.869 5.869 5.869 146.91 132.43 59.17
Atoms (fractional coordinates):
Sc (0.000, 0.000, 0.000)
Sc (0.291, 0.791, 0.500)
Sc (0.709, 0.209, 0.500)
Be (0.500, 0.500, 0.000)

Principal peaks in the range 5 to 70 degrees two-theta, in order of falling intensity:
2theta	I_rel
37.35	100
32.41	47
38.02	28
28.09	25
35.17	17
52.53	16

---

Record 12
Structure and calculated X-ray diffraction stick pattern of Sc8Be (a crystal structure in Alexandria, relaxed with GGA-PBE; copper Kα).

Structure:
Lattice parameters (Å, degrees): 7.142 7.142 7.142 95.49 95.49 143.95
Atoms (fractional coordinates):
Sc (0.000, 0.330, 0.330)
Sc (0.000, 0.670, 0.670)
Sc (0.330, 0.000, 0.330)
Sc (0.342, 0.342, 0.684)
Sc (0.342, 0.658, 0.000)
Sc (0.658, 0.342, 0.000)
Sc (0.658, 0.658, 0.316)
Sc (0.670, 0.000, 0.670)
Be (0.000, 0.000, 0.000)

Principal peaks in the range 5 to 70 degrees two-theta, in order of falling intensity:
2theta	I_rel
34.60	100
39.82	32
68.94	21
58.35	19
40.83	15
57.58	10